Entry 1:
This entry pairs a crystal structure of BeTePt with its calculated powder X-ray diffraction pattern. Radiation: Cu Kα X-rays. Structure: a GGA-PBE-relaxed structure.
Kinematic intensities with the Lorentz-polarization factor, no thermal factor.

Main lines, sorted by position (2θ = 15–90°):
h k l	Position (°2θ)	intensity
0 0 2	19.6	340
0 1 -2	28.1	1000
1 0 0	29.9	951
0 1 2	33.1	425
-1 1 2	36.8	399
1 0 2	37.3	423
0 1 3	41.1	226
1 1 -2	47.2	244
1 0 -4	48.5	232
1 -1 4	49.2	239

Crystal structure
```
BeTePt
1.0
3.2522 0.0000 0.0000
-1.6209 3.8429 0.0000
-0.1387 -1.4913 9.0775
Be Te Pt
2 2 2
direct
0.1321 0.2692 0.4585
0.8679 0.7308 0.5415
0.3476 0.6720 0.8182
0.6524 0.3280 0.1818
0.3943 0.7995 0.3615
0.6057 0.2005 0.6385
```


Entry 2:
This entry pairs a crystal structure of Ti3Be2Pt5 with its calculated powder X-ray diffraction pattern. Radiation: Cu Kα X-rays. Structure: a GGA-PBE-relaxed structure.
Kinematic intensities with the Lorentz-polarization factor, no thermal factor.

Main lines, sorted by position (2θ = 15–90°):
h k l	Position (°2θ)	intensity
0 0 1	25.2	1000
3 1 0	31.3	374
2 1 1	33.7	426
3 2 0	35.9	366
3 1 1	40.6	950
4 1 0	41.2	598
3 2 1	44.3	507
4 1 1	48.9	393
0 0 2	51.7	287
5 5 1	79.9	338

Crystal structure
```
Ti3Be2Pt5
1.0
9.0256 0.0000 0.0000
0.0000 9.0256 0.0000
0.0000 0.0000 3.5363
Ti Be Pt
6 4 10
direct
0.0000 0.0000 0.0000
0.1756 0.3244 0.0000
0.3244 0.8244 0.0000
0.5000 0.5000 0.0000
0.6756 0.1756 0.0000
0.8244 0.6756 0.0000
0.1208 0.6208 0.0000
0.3792 0.1208 0.0000
0.6208 0.8792 0.0000
0.8792 0.3792 0.0000
0.0000 0.5000 0.5000
0.0723 0.7925 0.5000
0.2075 0.0723 0.5000
0.2925 0.5723 0.5000
0.4277 0.2925 0.5000
0.5000 0.0000 0.5000
0.5723 0.7075 0.5000
0.7075 0.4277 0.5000
0.7925 0.9277 0.5000
0.9277 0.2075 0.5000
```